TlOs3: simulated XRD peak list (copper Kα), based on the PBE geometry in Alexandria.
Neutral-atom scattering factors, no anomalous dispersion.

Crystal structure
Unit cell a=2.784 b=3.767 c=6.395 alpha=90.00 beta=90.00 gamma=90.00
Space group Pmmm (No. 47)
Unique sites:
Tl (0.000, 0.000, 0.000) x1
Os (0.000, 0.000, 0.500) x1
Os (0.500, 0.500, 0.295) x2

Most intense lines, 10° ≤ 2θ ≤ 90°, low angle first:
2θ (°)	intensity	(hkl)
36.87	100	0 1 2
40.29	92	1 1 0
43.08	65	1 0 2
48.33	27	0 2 0
66.72	36	1 2 2
67.26	10	2 0 0
72.68	17	1 1 4
79.26	23	2 1 2
84.69	11	1 3 0
87.06	11	2 2 0